Diffraction record for CaFe5O7. The powder diffractogram is computed, not measured: it uses DFT lattice parameters and positions (PBE+U) and a wavelength of 1.5418 Å.

Largest 12 diffraction maxima, in order of falling intensity, 10 to 90 degrees two-theta:
2θ/deg	intensity
34.1	100
40.5	77
42.0	70
59.5	45
33.6	41
34.9	27
31.7	27
36.1	26
29.9	26
59.8	26
38.5	24
70.6	22

Atomic structure:
Unit cell a=5.3684 b=5.3684 c=18.3785 alpha=90.00 beta=90.00 gamma=146.50
Fractional positions:
1 Ca 0.2108 0.7892 0.7500
2 Ca 0.7892 0.2108 0.2500
3 Fe 0.0000 0.0000 0.0000
4 Fe 0.0000 0.0000 0.5000
5 Fe 0.2732 0.7268 0.0747
6 Fe 0.2732 0.7268 0.4253
7 Fe 0.4595 0.5405 0.6562
8 Fe 0.4595 0.5405 0.8438
9 Fe 0.5405 0.4595 0.1562
10 Fe 0.5405 0.4595 0.3438
11 Fe 0.7268 0.2732 0.5747
12 Fe 0.7268 0.2732 0.9253
13 O 0.0969 0.9031 0.5979
14 O 0.0969 0.9031 0.9021
15 O 0.1827 0.8173 0.1660
16 O 0.1827 0.8173 0.3340
17 O 0.3502 0.6498 0.5333
18 O 0.3502 0.6498 0.9667
19 O 0.4500 0.5500 0.2500
20 O 0.5500 0.4500 0.7500
21 O 0.6498 0.3502 0.0333
22 O 0.6498 0.3502 0.4667
23 O 0.8173 0.1827 0.6660
24 O 0.8173 0.1827 0.8340
25 O 0.9031 0.0969 0.0979
26 O 0.9031 0.0969 0.4021